Structure and theoretical PXRD pattern of Rb2InGe4As7 (the PBE geometry in the Materials Project; Cu Ka).
Peak positions follow from Bragg's law for the DFT cell and can differ from measured ones.

Largest 10 diffraction maxima, by angle, 2θ = 10–80°:
d/Å, I (rel.)
8.498, 70
4.029, 31
3.528, 37
3.257, 29
3.112, 100
2.967, 36
2.823, 31
2.034, 31
1.948, 30
1.845, 32

Structure:
```
data_Rb2InGe4As7
_chemical_formula_sum 'Rb2 In1 Ge4 As7'
_symmetry_space_group_name_H-M 'P 1'
_symmetry_Int_Tables_number 1
_cell_length_a 8.718
_cell_length_b 8.718
_cell_length_c 12.664
_cell_angle_alpha 90.15
_cell_angle_beta 90.15
_cell_angle_gamma 25.83
loop_
_symmetry_equiv_pos_as_xyz
'x,y,z'
loop_
_atom_site_label
_atom_site_type_symbol
_atom_site_fract_x
_atom_site_fract_y
_atom_site_fract_z
Rb1 Rb 0.000 0.000 0.000
Rb2 Rb 0.534 0.534 0.481
In1 In 0.801 0.801 0.424
Ge1 Ge 0.243 0.243 0.199
Ge2 Ge 0.298 0.298 0.706
Ge3 Ge 0.739 0.739 0.936
Ge4 Ge 0.928 0.928 0.294
As1 As 0.152 0.152 0.688
As2 As 0.196 0.196 0.383
As3 As 0.326 0.326 0.898
As4 As 0.389 0.389 0.178
As5 As 0.624 0.624 0.807
As6 As 0.674 0.674 0.111
As7 As 0.864 0.864 0.624
```